Computed powder diffractogram
Compound: Fe5C2
Radiation: CuKα
Structure: a GGA-PBE-relaxed structure
Lines closer than 0.1° are merged.

The 8 most intense peaks (2θ from 5° to 70°), by angle:
Position (°2θ)  I/Imax  hkl
40.01  16  0 2 0
41.48  20  1 1 -2
41.61  16  2 0 2
44.19  100  5 1 0
45.09  14  4 0 -2
45.63  22  3 1 -2
47.90  16  2 2 1
50.71  14  3 1 2

```
data_Fe5C2
_chemical_formula_sum 'Fe20 C8'
_space_group_name_H-M_alt 'C 1 2/c 1'
_space_group_IT_number 15
_cell_length_a 11.6026
_cell_length_b 4.5073
_cell_length_c 4.9896
_cell_angle_alpha 90.00
_cell_angle_beta 97.57
_cell_angle_gamma 90.00
loop_
_space_group_symop_operation_xyz
'x,y,z'
'-x,-y,-z'
'-x,y,-z+1/2'
'x,-y,z+1/2'
'x+1/2,y+1/2,z'
'-x+1/2,-y+1/2,-z'
'-x+1/2,y+1/2,-z+1/2'
'x+1/2,-y+1/2,z+1/2'
loop_
_atom_site_label
_atom_site_type_symbol
_atom_site_fract_x
_atom_site_fract_y
_atom_site_fract_z
_atom_site_occupancy
Fe1 Fe 0.0000 0.0672 0.2500 1
Fe2 Fe 0.0984 0.4166 0.9170 1
Fe3 Fe 0.2143 0.0819 0.3106 1
C1 C 0.1131 0.1855 0.5787 1
```

=====

Computed powder diffractogram
Compound: LiCd2Cu
Radiation: CuKα
Structure: a GGA-PBE-relaxed structure
Lines closer than 0.1° are merged.

The 8 most intense peaks (2θ from 5° to 70°), by angle:
Position (°2θ)  I/Imax  hkl
23.80  11  1 1 1
27.55  34  2 0 0
39.35  100  2 2 0
46.51  5  3 1 1
48.71  9  2 2 2
56.87  16  4 0 0
62.52  2  3 3 1
64.33  12  4 2 0

```
data_LiCd2Cu
_chemical_formula_sum 'Li4 Cd8 Cu4'
_space_group_name_H-M_alt 'F m -3 m'
_space_group_IT_number 225
_space_group_name_Hall '-F 4 2 3'
_cell_length_a 6.4758
_cell_length_b 6.4758
_cell_length_c 6.4758
_cell_angle_alpha 90.00
_cell_angle_beta 90.00
_cell_angle_gamma 90.00
loop_
_atom_site_label
_atom_site_type_symbol
_atom_site_fract_x
_atom_site_fract_y
_atom_site_fract_z
_atom_site_occupancy
Li1 Li 0.0000 0.0000 0.0000 1
Cd1 Cd 0.2500 0.2500 0.2500 1
Cu1 Cu 0.0000 0.0000 0.5000 1
```

=====

Computed powder diffractogram
Compound: SrTcN3
Radiation: CuKα
Structure: a GGA-PBE-relaxed structure
Lines closer than 0.1° are merged.

The 8 most intense peaks (2θ from 5° to 70°), by angle:
Position (°2θ)  I/Imax  hkl
25.63  100  2 2 -1
26.77  26  3 1 0
29.57  15  1 3 -1
30.09  46  0 0 2
30.73  56  2 2 1
34.05  19  4 0 0
47.61  20  2 2 -3
56.72  20  5 3 1

```
data_SrTcN3
_chemical_formula_sum 'Sr8 Tc8 N24'
_space_group_name_H-M_alt 'C 1 2/c 1'
_space_group_IT_number 15
_cell_length_a 10.9544
_cell_length_b 10.5385
_cell_length_c 6.1805
_cell_angle_alpha 90.00
_cell_angle_beta 106.04
_cell_angle_gamma 90.00
loop_
_space_group_symop_operation_xyz
'x,y,z'
'-x,-y,-z'
'-x,y,-z+1/2'
'x,-y,z+1/2'
'x+1/2,y+1/2,z'
'-x+1/2,-y+1/2,-z'
'-x+1/2,y+1/2,-z+1/2'
'x+1/2,-y+1/2,z+1/2'
loop_
_atom_site_label
_atom_site_type_symbol
_atom_site_fract_x
_atom_site_fract_y
_atom_site_fract_z
_atom_site_occupancy
Sr1 Sr 0.0000 0.0923 0.2500 1
Sr2 Sr 0.0000 0.3264 0.7500 1
Tc1 Tc 0.2113 0.4131 0.2541 1
N1 N 0.1226 0.1105 0.6663 1
N2 N 0.1357 0.2700 0.1663 1
N3 N 0.1545 0.4786 0.5000 1
```

=====

Computed powder diffractogram
Compound: BaGaCu3Se4
Radiation: CuKα
Structure: a GGA-PBE-relaxed structure
Lines closer than 0.1° are merged.

The 8 most intense peaks (2θ from 5° to 70°), by angle:
Position (°2θ)  I/Imax  hkl
20.16  29  1 1 0
24.75  88  1 1 1
35.29  18  2 1 1
40.98  100  2 2 0
48.46  36  3 1 1
55.17  13  3 2 1
59.34  14  4 0 0
65.29  11  3 3 1

```
data_BaGaCu3Se4
_chemical_formula_sum 'Ba1 Ga1 Cu3 Se4'
_space_group_name_H-M_alt 'P -4 3 m'
_space_group_IT_number 215
_space_group_name_Hall 'P -4 2 3'
_cell_length_a 6.2296
_cell_length_b 6.2296
_cell_length_c 6.2296
_cell_angle_alpha 90.00
_cell_angle_beta 90.00
_cell_angle_gamma 90.00
loop_
_atom_site_label
_atom_site_type_symbol
_atom_site_fract_x
_atom_site_fract_y
_atom_site_fract_z
_atom_site_occupancy
Ba1 Ba 0.0000 0.0000 0.0000 1
Ga1 Ga 0.5000 0.5000 0.5000 1
Cu1 Cu 0.0000 0.5000 0.5000 1
Se1 Se 0.2800 0.2800 0.7200 1
```

=====

Computed powder diffractogram
Compound: NaCaAsO4
Radiation: CuKα
Structure: a GGA-PBE-relaxed structure
Lines closer than 0.1° are merged.

The 8 most intense peaks (2θ from 5° to 70°), by angle:
Position (°2θ)  I/Imax  hkl
18.34  56  1 0 1
20.16  90  2 1 0
26.42  43  0 2 0
28.49  35  3 0 1
31.48  100  3 1 1
32.35  83  1 2 1
37.16  25  1 1 2
49.91  27  3 3 1

```
data_NaCaAsO4
_chemical_formula_sum 'Na4 Ca4 As4 O16'
_space_group_name_H-M_alt 'P n m a'
_space_group_IT_number 62
_cell_length_a 11.6332
_cell_length_b 6.7475
_cell_length_c 5.3176
_cell_angle_alpha 90.00
_cell_angle_beta 90.00
_cell_angle_gamma 90.00
loop_
_space_group_symop_operation_xyz
'x,y,z'
'-x,-y,-z'
'-x+1/2,-y,z+1/2'
'x+1/2,y,-z+1/2'
'x+1/2,-y+1/2,-z+1/2'
'-x+1/2,y+1/2,z+1/2'
'-x,y+1/2,-z'
'x,-y+1/2,z'
loop_
_atom_site_label
_atom_site_type_symbol
_atom_site_fract_x
_atom_site_fract_y
_atom_site_fract_z
_atom_site_occupancy
Na1 Na 0.0000 0.0000 0.0000 1
Ca1 Ca 0.2194 0.2500 0.4943 1
As1 As 0.0980 0.7500 0.4322 1
O1 O 0.0399 0.2500 0.6852 1
O2 O 0.1044 0.7500 0.7541 1
O3 O 0.1685 0.5502 0.2949 1
```

=====

Computed powder diffractogram
Compound: Ba2C4O9
Radiation: CuKα
Structure: a GGA-PBE-relaxed structure
Lines closer than 0.1° are merged.

The 8 most intense peaks (2θ from 5° to 70°), by angle:
Position (°2θ)  I/Imax  hkl
10.45  92  0 1 0
17.06  63  1 -1 0
23.20  100  0 2 2
23.37  53  1 2 1
25.53  57  -1 1 2
27.03  54  0 2 -1
31.55  99  2 1 2
39.69  48  1 2 4

```
data_Ba2C4O9
_chemical_formula_sum 'Ba4 C8 O18'
_space_group_name_H-M_alt 'P -1'
_space_group_IT_number 2
_cell_length_a 6.5043
_cell_length_b 9.1812
_cell_length_c 9.3437
_cell_angle_alpha 66.92
_cell_angle_beta 81.05
_cell_angle_gamma 88.18
loop_
_space_group_symop_operation_xyz
'x,y,z'
'-x,-y,-z'
loop_
_atom_site_label
_atom_site_type_symbol
_atom_site_fract_x
_atom_site_fract_y
_atom_site_fract_z
_atom_site_occupancy
Ba1 Ba 0.1542 0.1871 0.0125 1
Ba2 Ba 0.2411 0.4445 0.3341 1
C1 C 0.0582 0.1805 0.6525 1
C2 C 0.2145 0.6021 0.8306 1
C3 C 0.3459 0.6706 0.9174 1
C4 C 0.4849 0.8323 0.3230 1
O1 O 0.0239 0.0850 0.8032 1
O2 O 0.0278 0.6473 0.8229 1
O3 O 0.0337 0.6835 0.3932 1
O4 O 0.1865 0.1445 0.5533 1
O5 O 0.2455 0.7022 0.0297 1
O6 O 0.2982 0.5011 0.7803 1
O7 O 0.4588 0.3152 0.1251 1
O8 O 0.4774 0.6994 0.4129 1
O9 O 0.4849 0.9606 0.2246 1
```

=====

Computed powder diffractogram
Compound: Ca4YB3O10
Radiation: CuKα
Structure: a GGA-PBE-relaxed structure
Lines closer than 0.1° are merged.

The 8 most intense peaks (2θ from 5° to 70°), by angle:
Position (°2θ)  I/Imax  hkl
12.37  42  1 1 0
19.92  49  1 3 0
24.89  45  2 2 0
29.90  84  1 5 0
30.35  100  1 1 1
30.54  88  2 0 -1
31.55  52  2 4 0
47.91  47  3 5 -1

```
data_Ca4YB3O10
_chemical_formula_sum 'Ca8 Y2 B6 O20'
_space_group_name_H-M_alt 'C 1 m 1'
_space_group_IT_number 8
_cell_length_a 8.1386
_cell_length_b 16.1151
_cell_length_c 3.5647
_cell_angle_alpha 90.00
_cell_angle_beta 101.22
_cell_angle_gamma 90.00
loop_
_space_group_symop_operation_xyz
'x,y,z'
'x,-y,z'
'x+1/2,y+1/2,z'
'x+1/2,-y+1/2,z'
loop_
_atom_site_label
_atom_site_type_symbol
_atom_site_fract_x
_atom_site_fract_y
_atom_site_fract_z
_atom_site_occupancy
Ca1 Ca 0.0000 0.1127 0.0000 1
Ca2 Ca 0.3782 0.1819 0.6714 1
Y1 Y 0.1403 0.5000 0.3280 1
B1 B 0.1917 0.3058 0.2460 1
B2 B 0.2677 0.0000 0.6272 1
O1 O 0.0551 0.3579 0.2486 1
O2 O 0.1734 0.2310 0.0515 1
O3 O 0.1810 0.0745 0.5794 1
O4 O 0.3111 0.5000 0.9070 1
O5 O 0.3494 0.3282 0.4433 1
O6 O 0.4417 0.0000 0.7221 1
```

=====

Computed powder diffractogram
Compound: Mg3In
Radiation: CuKα
Structure: a GGA-PBE-relaxed structure
Lines closer than 0.1° are merged.

The 8 most intense peaks (2θ from 5° to 70°), by angle:
Position (°2θ)  I/Imax  hkl
8.88  100  0 0 3
17.82  23  0 0 6
31.30  17  1 0 1
31.74  17  0 1 2
33.44  66  1 0 4
36.08  18  0 0 12
39.60  41  0 1 8
67.94  17  1 1 12

```
data_Mg3In
_chemical_formula_sum 'Mg9 In3'
_space_group_name_H-M_alt 'R -3 m'
_space_group_IT_number 166
_space_group_name_Hall '-R 3 2"'
_cell_length_a 3.3154
_cell_length_b 3.3154
_cell_length_c 29.8708
_cell_angle_alpha 90.00
_cell_angle_beta 90.00
_cell_angle_gamma 120.00
loop_
_atom_site_label
_atom_site_type_symbol
_atom_site_fract_x
_atom_site_fract_y
_atom_site_fract_z
_atom_site_occupancy
Mg1 Mg 0.0000 0.0000 0.0000 1
Mg2 Mg 0.0000 0.0000 0.2502 1
In1 In 0.0000 0.0000 0.5000 1
```